For CsB2OsO6, a cell relaxed with GGA-PBE gives the simulated powder diffractogram in this record (Cu Kα).

Crystal structure
```
CsB2OsO6
1.0
7.537 0.000 0.000
0.000 3.729 0.000
0.000 0.000 9.646
Cs B Os O
2 4 2 12
Cartesian
0.000 0.130 0.000
3.768 3.598 4.823
1.249 1.905 6.548
2.519 1.823 1.725
5.017 1.823 1.725
6.288 1.905 6.548
0.000 1.575 3.811
3.768 2.153 8.634
0.000 1.988 7.182
0.000 3.438 3.805
1.380 1.583 5.225
1.404 1.537 2.419
2.365 2.191 7.242
2.388 2.145 0.402
3.768 0.290 8.628
3.768 1.741 2.359
5.149 2.145 0.402
5.172 2.191 7.242
6.133 1.537 2.419
6.156 1.583 5.225
```

Main lines, in order of rising 2θ (10 to 90 degrees two-theta):
two_theta	I/Imax
14.92	43
18.39	45
23.61	46
28.26	100
30.09	43
30.24	60
38.81	34
44.49	20
45.84	19
51.21	21